No. 1
For Eu5Nb4O15, a DFT-relaxed cell (GGA-PBE, the Materials Project) gives the simulated PXRD pattern in this record (Cu Kα, 1.54184 Å).
No peak broadening, texture or thermal motion is included.

Top 10 peaks for 2θ from 10° to 90°, most intense first:
| (hkl) | d/Å | I (rel.) |
| --- | --- | --- |
| 1 1 3 | 3.047 | 100.0 |
| 2 1 0 | 2.865 | 83.5 |
| 2 0 3 | 2.087 | 53.5 |
| 3 2 3 | 1.687 | 36.4 |
| 1 0 6 | 1.799 | 22.2 |
| 3 1 6 | 1.345 | 16.7 |
| 3 3 0 | 1.654 | 16.7 |
| 4 2 0 | 1.432 | 16.3 |
| 4 1 3 | 1.296 | 15.1 |
| 2 2 6 | 1.524 | 15.1 |

Structure:
a = 5.729 Å, b = 5.729 Å, c = 11.583 Å
α = 90.00°, β = 89.97°, γ = 60.01°
Space group P1 (No. 1)
One atom of each set of equivalent atoms:
Eu  0.000  0.000  0.000 (multiplicity 1)
Eu  0.001  0.001  0.332 (multiplicity 1)
Eu  0.334  0.333  0.771 (multiplicity 1)
Eu  0.668  0.667  0.542 (multiplicity 1)
Eu  0.669  0.667  0.210 (multiplicity 1)
Nb  0.002  0.000  0.667 (multiplicity 1)
Nb  0.334  0.333  0.092 (multiplicity 1)
Nb  0.335  0.333  0.451 (multiplicity 1)
Nb  0.668  0.666  0.877 (multiplicity 1)
O  0.006  0.497  0.969 (multiplicity 1)
O  0.162  0.163  0.167 (multiplicity 1)
O  0.162  0.676  0.167 (multiplicity 1)
O  0.170  0.168  0.574 (multiplicity 1)
O  0.170  0.662  0.574 (multiplicity 1)
O  0.335  0.833  0.772 (multiplicity 1)
O  0.500  0.003  0.970 (multiplicity 1)
O  0.500  0.497  0.970 (multiplicity 1)
O  0.506  0.991  0.376 (multiplicity 1)
O  0.507  0.504  0.376 (multiplicity 1)
O  0.664  0.168  0.574 (multiplicity 1)
O  0.676  0.162  0.167 (multiplicity 1)
O  0.835  0.333  0.772 (multiplicity 1)
O  0.835  0.833  0.772 (multiplicity 1)
O  0.993  0.504  0.376 (multiplicity 1)

---

No. 2
For GdMgPt, a DFT-relaxed cell (GGA-PBE, the Materials Project) gives the simulated PXRD pattern in this record (Cu Kα, 1.54184 Å).
No peak broadening, texture or thermal motion is included.

Top 10 peaks for 2θ from 10° to 90°, most intense first:
| (hkl) | d/Å | I (rel.) |
| --- | --- | --- |
| 2 0 1 | 2.540 | 100.0 |
| 1 1 1 | 2.764 | 68.2 |
| 1 1 0 | 3.716 | 53.4 |
| 3 0 0 | 2.146 | 40.3 |
| 2 1 1 | 2.097 | 38.2 |
| 1 0 1 | 3.479 | 29.2 |
| 3 2 1 | 1.391 | 26.9 |
| 3 0 2 | 1.489 | 25.5 |
| 0 0 2 | 2.068 | 23.9 |
| 3 1 1 | 1.639 | 16.8 |

Structure:
a = 7.4326 Å, b = 7.4326 Å, c = 4.1357 Å
α = 90.00°, β = 90.00°, γ = 120.00°
Space group P-62m (No. 189)
One atom of each set of equivalent atoms:
Gd  0.0000  0.4094  0.0000 (multiplicity 3)
Mg  0.0000  0.7555  0.5000 (multiplicity 3)
Pt  0.0000  0.0000  0.0000 (multiplicity 1)
Pt  0.3333  0.6667  0.5000 (multiplicity 2)

---

No. 3
For As2PbS4, a DFT-relaxed cell (GGA-PBE, the Materials Project) gives the simulated PXRD pattern in this record (Cu Kα, 1.54184 Å).
No peak broadening, texture or thermal motion is included.

Top 10 peaks for 2θ from 10° to 90°, most intense first:
| (hkl) | d/Å | I (rel.) |
| --- | --- | --- |
| 2 1 2 | 2.811 | 100.0 |
| 1 0 2 | 6.640 | 66.9 |
| 2 0 1 | 4.588 | 52.2 |
| 1 1 3 | 3.049 | 45.8 |
| 2 1 0 | 2.949 | 42.5 |
| 1 0 4 | 4.179 | 41.4 |
| 0 1 7 | 2.174 | 38.4 |
| 2 1 1 | 2.911 | 37.1 |
| 0 2 0 | 1.883 | 33.6 |
| 1 0 5 | 3.467 | 29.4 |

Structure:
a = 9.467 Å, b = 3.767 Å, c = 18.630 Å
α = 90.00°, β = 90.00°, γ = 90.00°
Space group Pnma (No. 62)
One atom of each set of equivalent atoms:
As  0.000  0.250  0.118 (multiplicity 4)
As  0.163  0.250  0.506 (multiplicity 4)
Pb  0.157  0.750  0.314 (multiplicity 4)
S  0.009  0.750  0.581 (multiplicity 4)
S  0.127  0.750  0.778 (multiplicity 4)
S  0.152  0.750  0.147 (multiplicity 4)
S  0.195  0.250  0.954 (multiplicity 4)

---

No. 4
For MgMn2S4, a DFT-relaxed cell (GGA-PBE, the Materials Project) gives the simulated PXRD pattern in this record (Cu Kα, 1.54184 Å).
No peak broadening, texture or thermal motion is included.

Top 10 peaks for 2θ from 10° to 90°, most intense first:
| (hkl) | d/Å | I (rel.) |
| --- | --- | --- |
| 4 0 0 | 2.577 | 100.0 |
| 4 4 0 | 1.822 | 95.4 |
| 1 1 1 | 5.952 | 73.3 |
| 3 1 1 | 3.108 | 72.0 |
| 5 1 1 | 1.984 | 46.3 |
| 8 4 0 | 1.153 | 21.2 |
| 4 4 4 | 1.488 | 18.5 |
| 5 3 1 | 1.743 | 13.0 |
| 8 0 0 | 1.289 | 12.8 |
| 5 5 3 | 1.342 | 12.8 |

Structure:
a = 10.309 Å, b = 10.309 Å, c = 10.309 Å
α = 90.00°, β = 90.00°, γ = 90.00°
Space group Fd-3m (No. 227, origin choice 2)
One atom of each set of equivalent atoms:
Mg  0.125  0.125  0.125 (multiplicity 8)
Mn  0.000  0.000  0.500 (multiplicity 16)
S  0.012  0.012  0.738 (multiplicity 32)

---

No. 5
For LiHoSe2, a DFT-relaxed cell (GGA-PBE, the Materials Project) gives the simulated PXRD pattern in this record (Cu Kα, 1.54184 Å).
No peak broadening, texture or thermal motion is included.

Top 10 peaks for 2θ from 10° to 90°, most intense first:
| (hkl) | d/Å | I (rel.) |
| --- | --- | --- |
| 1 0 1 | 5.090 | 100.0 |
| 2 0 0 | 2.836 | 98.2 |
| 2 0 4 | 2.023 | 73.7 |
| 0 0 4 | 2.885 | 51.3 |
| 2 2 4 | 1.647 | 38.3 |
| 2 2 0 | 2.005 | 36.0 |
| 2 1 1 | 2.477 | 32.7 |
| 1 0 3 | 3.184 | 26.6 |
| 4 2 4 | 1.161 | 24.6 |
| 2 1 3 | 2.118 | 17.3 |

Structure:
a = 5.672 Å, b = 5.672 Å, c = 11.542 Å
α = 90.00°, β = 90.00°, γ = 90.00°
Space group I4_1/amd (No. 141, origin choice 2)
One atom of each set of equivalent atoms:
Li  0.000  0.250  0.375 (multiplicity 4)
Ho  0.000  0.250  0.875 (multiplicity 4)
Se  0.000  0.250  0.121 (multiplicity 8)

---

No. 6
For EuNiGe2, a DFT-relaxed cell (GGA-PBE, the Materials Project) gives the simulated PXRD pattern in this record (Cu Kα, 1.54184 Å).
No peak broadening, texture or thermal motion is included.

Top 10 peaks for 2θ from 10° to 90°, most intense first:
| (hkl) | d/Å | I (rel.) |
| --- | --- | --- |
| 1 3 1 | 2.653 | 100.0 |
| 1 5 0 | 2.668 | 37.9 |
| 0 6 1 | 2.344 | 30.3 |
| 2 0 0 | 2.157 | 29.9 |
| 0 0 2 | 2.092 | 27.4 |
| 1 1 1 | 2.958 | 21.6 |
| 2 0 2 | 1.502 | 18.4 |
| 2 6 1 | 1.587 | 17.7 |
| 1 5 2 | 1.647 | 17.3 |
| 1 9 0 | 1.729 | 14.3 |

Structure:
a = 4.314 Å, b = 16.981 Å, c = 4.185 Å
α = 90.00°, β = 90.00°, γ = 90.00°
Space group Cmcm (No. 63)
One atom of each set of equivalent atoms:
Eu  0.000  0.108  0.250 (multiplicity 4)
Ni  0.000  0.319  0.250 (multiplicity 4)
Ge  0.000  0.250  0.750 (multiplicity 4)
Ge  0.000  0.456  0.250 (multiplicity 4)

---

No. 7
For YUB8, a DFT-relaxed cell (GGA-PBE, the Materials Project) gives the simulated PXRD pattern in this record (Cu Kα, 1.54184 Å).
No peak broadening, texture or thermal motion is included.

Top 10 peaks for 2θ from 10° to 90°, most intense first:
| (hkl) | d/Å | I (rel.) |
| --- | --- | --- |
| 3 1 1 | 2.480 | 100.0 |
| 3 1 0 | 3.170 | 77.3 |
| 2 2 1 | 2.647 | 67.2 |
| 0 0 1 | 3.981 | 61.5 |
| 2 2 0 | 3.544 | 49.6 |
| 0 2 0 | 5.012 | 41.1 |
| 5 3 1 | 1.578 | 39.9 |
| 5 3 0 | 1.719 | 33.6 |
| 0 2 1 | 3.117 | 29.2 |
| 5 3 2 | 1.301 | 27.3 |

Structure:
a = 10.021 Å, b = 10.026 Å, c = 3.981 Å
α = 90.00°, β = 90.00°, γ = 90.00°
Space group Cmmm (No. 65)
One atom of each set of equivalent atoms:
Y  0.000  0.186  0.000 (multiplicity 4)
U  0.189  0.500  0.000 (multiplicity 4)
B  0.000  0.414  0.500 (multiplicity 4)
B  0.089  0.000  0.500 (multiplicity 4)
B  0.143  0.322  0.500 (multiplicity 8)
B  0.183  0.140  0.500 (multiplicity 8)
B  0.250  0.250  0.201 (multiplicity 8)

---

No. 8
For Si3W, a DFT-relaxed cell (GGA-PBE, the Materials Project) gives the simulated PXRD pattern in this record (Cu Kα, 1.54184 Å).
No peak broadening, texture or thermal motion is included.

Top 10 peaks for 2θ from 10° to 90°, most intense first:
| (hkl) | d/Å | I (rel.) |
| --- | --- | --- |
| 1 0 1 | 3.302 | 100.0 |
| 2 0 1 | 2.055 | 87.4 |
| 1 0 0 | 4.548 | 44.9 |
| 1 1 0 | 2.626 | 39.7 |
| 2 1 1 | 1.618 | 31.3 |
| 0 0 2 | 2.400 | 31.1 |
| 1 1 2 | 1.772 | 25.4 |
| 2 0 3 | 1.309 | 20.4 |
| 2 0 0 | 2.274 | 19.7 |
| 2 2 2 | 1.152 | 18.2 |

Structure:
a = 5.2520 Å, b = 5.2520 Å, c = 4.8004 Å
α = 90.00°, β = 90.00°, γ = 120.00°
Space group P6_3/mmc (No. 194)
One atom of each set of equivalent atoms:
Si  0.1765  0.3531  0.2500 (multiplicity 6)
W  0.3333  0.6667  0.7500 (multiplicity 2)